(1)
Simulated X-ray diffraction stick pattern
Compound: PaCl6
Radiation: a wavelength of 1.5418 Å
Structure: the PBE geometry in Alexandria

abc: 8.899 8.899 8.899
angles: 90.00 90.00 90.00
Space group Im-3m (No. 229)
Symmetry-distinct sites (fractional):
Pa  0.000  0.000  0.000 [2 per cell]
Cl  0.000  0.000  0.287 [12 per cell]

Peak list (6 most intense, 15 to 90 degrees two-theta, low angle first)
| two_theta | I_rel | index |
| --- | --- | --- |
| 19.95 | 71 | 2 0 0 |
| 31.80 | 100 | 3 1 0 |
| 37.83 | 43 | 3 2 1 |
| 43.13 | 52 | 3 3 0 |
| 52.43 | 51 | 4 3 1 |
| 60.68 | 29 | 4 3 3 |



(2)
Simulated X-ray diffraction stick pattern
Compound: PaTl2PbCl8
Radiation: a wavelength of 1.5418 Å
Structure: the PBE geometry in Alexandria

abc: 7.019 8.800 7.246
angles: 90.00 92.59 90.00
Space group P2/m (No. 10)
Symmetry-distinct sites (fractional):
Pa  0.000  0.000  0.000 [1 per cell]
Tl  0.500  0.257  0.500 [2 per cell]
Pb  0.000  0.500  0.000 [1 per cell]
Cl  0.207  0.000  0.309 [2 per cell]
Cl  0.213  0.226  0.868 [4 per cell]
Cl  0.252  0.500  0.316 [2 per cell]

Peak list (6 most intense, 15 to 90 degrees two-theta, low angle first)
| two_theta | I_rel | index |
| --- | --- | --- |
| 17.21 | 100 | 1 0 -1 |
| 18.01 | 78 | 1 0 1 |
| 23.66 | 56 | 0 2 1 |
| 23.88 | 80 | 1 2 0 |
| 34.12 | 36 | 1 2 -2 |
| 34.57 | 52 | 2 2 -1 |



(3)
Simulated X-ray diffraction stick pattern
Compound: PuPaCl5
Radiation: a wavelength of 1.5418 Å
Structure: the PBE geometry in Alexandria

abc: 8.228 3.857 13.158
angles: 90.00 96.36 90.00
Space group P2_1/m (No. 11)
Symmetry-distinct sites (fractional):
Pu  0.100  0.250  0.145 [2 per cell]
Pa  0.420  0.750  0.343 [2 per cell]
Cl  0.078  0.750  0.305 [2 per cell]
Cl  0.138  0.250  0.931 [2 per cell]
Cl  0.322  0.250  0.485 [2 per cell]
Cl  0.352  0.750  0.131 [2 per cell]
Cl  0.364  0.750  0.710 [2 per cell]

Peak list (6 most intense, 15 to 90 degrees two-theta, low angle first)
| two_theta | I_rel | index |
| --- | --- | --- |
| 24.18 | 36 | 1 0 3 |
| 26.79 | 100 | 1 1 1 |
| 26.97 | 27 | 2 0 2 |
| 31.90 | 47 | 2 1 0 |
| 32.10 | 42 | 1 1 -3 |
| 33.79 | 25 | 2 1 -2 |



(4)
Simulated X-ray diffraction stick pattern
Compound: RbPa2Cl11
Radiation: a wavelength of 1.5418 Å
Structure: the PBE geometry in Alexandria

abc: 12.568 12.630 14.293
angles: 90.00 90.00 90.00
Space group Ibam (No. 72)
Symmetry-distinct sites (fractional):
Rb  0.000  0.000  0.250 [4 per cell]
Pa  0.150  0.340  0.000 [8 per cell]
Cl  0.000  0.500  0.000 [4 per cell]
Cl  0.043  0.245  0.126 [16 per cell]
Cl  0.216  0.304  0.500 [8 per cell]
Cl  0.247  0.062  0.373 [16 per cell]

Peak list (6 most intense, 15 to 90 degrees two-theta, low angle first)
| two_theta | I_rel | index |
| --- | --- | --- |
| 15.90 | 32 | 1 1 2 |
| 16.92 | 100 | 2 1 1 |
| 18.77 | 23 | 0 2 2 |
| 22.31 | 17 | 1 3 0 |
| 24.47 | 18 | 2 1 3 |
| 32.65 | 25 | 3 3 2 |



(5)
Simulated X-ray diffraction stick pattern
Compound: Rb3Pa2Se5Cl2
Radiation: a wavelength of 1.5418 Å
Structure: the PBE geometry in Alexandria

abc: 5.573 5.573 27.769
angles: 90.00 90.00 90.00
Space group I4/mmm (No. 139)
Symmetry-distinct sites (fractional):
Rb  0.000  0.000  0.000 [2 per cell]
Rb  0.000  0.000  0.182 [4 per cell]
Pa  0.000  0.000  0.401 [4 per cell]
Se  0.000  0.000  0.500 [2 per cell]
Se  0.000  0.500  0.101 [8 per cell]
Cl  0.000  0.000  0.302 [4 per cell]

Peak list (6 most intense, 15 to 90 degrees two-theta, low angle first)
| two_theta | I_rel | index |
| --- | --- | --- |
| 16.22 | 48 | 1 0 1 |
| 22.59 | 100 | 1 1 0 |
| 32.12 | 68 | 2 0 0 |
| 32.24 | 28 | 0 0 10 |
| 39.65 | 42 | 2 1 5 |
| 46.12 | 66 | 2 2 0 |



(6)
Simulated X-ray diffraction stick pattern
Compound: PaS6Cl2
Radiation: a wavelength of 1.5418 Å
Structure: the PBE geometry in Alexandria

abc: 4.556 8.135 8.199
angles: 112.62 91.84 91.79
Space group P-1 (No. 2)
Symmetry-distinct sites (fractional):
Pa  0.000  0.000  0.000 [1 per cell]
S  0.002  0.132  0.366 [2 per cell]
S  0.002  0.369  0.134 [2 per cell]
S  0.252  0.317  0.316 [2 per cell]
Cl  0.500  0.122  0.880 [2 per cell]

Peak list (6 most intense, 15 to 90 degrees two-theta, low angle first)
| two_theta | I_rel | index |
| --- | --- | --- |
| 19.52 | 96 | 1 0 0 |
| 22.35 | 92 | 1 0 -1 |
| 23.54 | 100 | 1 -1 1 |
| 29.08 | 49 | 1 1 -2 |
| 29.21 | 49 | 1 -2 1 |
| 42.04 | 52 | 2 0 1 |



(7)
Simulated X-ray diffraction stick pattern
Compound: Pa2S4Cl
Radiation: a wavelength of 1.5418 Å
Structure: the PBE geometry in Alexandria

abc: 7.773 13.327 6.976
angles: 90.00 90.00 90.00
Space group Ima2 (No. 46)
Symmetry-distinct sites (fractional):
Pa  0.000  0.000  0.000 [4 per cell]
Pa  0.250  0.197  0.411 [4 per cell]
S  0.020  0.200  0.130 [8 per cell]
S  0.250  0.002  0.276 [4 per cell]
S  0.250  0.107  0.772 [4 per cell]
Cl  0.250  0.616  0.317 [4 per cell]

Peak list (6 most intense, 15 to 90 degrees two-theta, low angle first)
| two_theta | I_rel | index |
| --- | --- | --- |
| 23.75 | 92 | 0 3 1 |
| 26.55 | 56 | 2 2 0 |
| 27.10 | 100 | 2 1 1 |
| 28.85 | 47 | 1 1 2 |
| 37.17 | 82 | 2 2 2 |
| 43.15 | 88 | 2 5 1 |



(8)
Simulated X-ray diffraction stick pattern
Compound: PaS2Cl5
Radiation: a wavelength of 1.5418 Å
Structure: the PBE geometry in Alexandria

abc: 5.447 8.372 8.387
angles: 90.63 108.03 108.02
Space group P1 (No. 1)
Symmetry-distinct sites (fractional):
Pa  0.000  0.000  0.000 [1 per cell]
S  0.191  0.514  0.558 [1 per cell]
S  0.818  0.484  0.440 [1 per cell]
Cl  0.159  0.316  0.018 [1 per cell]
Cl  0.160  0.019  0.315 [1 per cell]
Cl  0.500  0.000  0.000 [1 per cell]
Cl  0.840  0.684  0.982 [1 per cell]
Cl  0.840  0.981  0.685 [1 per cell]

Peak list (6 most intense, 15 to 90 degrees two-theta, low angle first)
| two_theta | I_rel | index |
| --- | --- | --- |
| 16.76 | 51 | 0 1 1 |
| 17.91 | 78 | 1 -1 0 |
| 18.14 | 61 | 1 0 0 |
| 18.51 | 64 | -1 1 1 |
| 22.48 | 100 | 0 2 0 |
| 34.56 | 39 | 0 3 -1 |